Record 1
Structure and computed X-ray diffraction stick pattern of SmErTe3 (a cell relaxed with PBE; Cu Kα).
No peak broadening, texture or thermal motion is included.

Atomic structure:
abc: 4.2718 14.1782 10.7477
angles: 90.00 90.00 90.00
Space group Cmcm (No. 63)
One atom of each set of equivalent atoms:
Sm  0.0000  0.2485  0.2500 [4 per cell]
Er  0.0000  0.0000  0.0000 [4 per cell]
Te  0.0000  0.0914  0.7500 [4 per cell]
Te  0.0000  0.3531  0.5633 [8 per cell]

The 10 most intense peaks (2θ from 10° to 90°), low angle first:
2θ = 20.74°, rel. 58.3, (0 2 2)
2θ = 27.90°, rel. 67.0, (0 2 3)
2θ = 28.16°, rel. 82.4, (1 3 0)
2θ = 29.38°, rel. 100.0, (1 3 1)
2θ = 32.81°, rel. 97.0, (1 3 2)
2θ = 33.24°, rel. 54.2, (1 1 3)
2θ = 41.76°, rel. 99.5, (0 6 2)
2θ = 42.32°, rel. 46.3, (2 0 0)
2θ = 51.40°, rel. 52.2, (1 3 5)
2θ = 60.96°, rel. 41.9, (2 6 2)


Record 2
Structure and computed X-ray diffraction stick pattern of PaPbCl6 (a cell relaxed with PBE; Cu Kα).
No peak broadening, texture or thermal motion is included.

Atomic structure:
abc: 6.8890 6.8890 12.9190
angles: 90.00 90.00 120.00
Space group P-31c (No. 163)
One atom of each set of equivalent atoms:
Pa  0.0000  0.0000  0.0000 [2 per cell]
Pb  0.3333  0.6667  0.2500 [2 per cell]
Cl  0.0054  0.3183  0.6187 [12 per cell]

The 10 most intense peaks (2θ from 10° to 90°), low angle first:
2θ = 14.85°, rel. 18.2, (1 0 0)
2θ = 16.37°, rel. 45.3, (1 0 1)
2θ = 20.26°, rel. 100.0, (1 0 2)
2θ = 25.51°, rel. 17.3, (1 0 3)
2θ = 25.87°, rel. 26.1, (1 1 0)
2θ = 29.39°, rel. 13.6, (2 -1 2)
2θ = 33.08°, rel. 29.6, (2 0 2)
2θ = 38.20°, rel. 54.0, (2 -1 4)
2θ = 42.46°, rel. 30.9, (3 -1 2)
2θ = 45.62°, rel. 22.5, (3 0 0)


Record 3
Structure and computed X-ray diffraction stick pattern of Er2Th2In (a cell relaxed with PBE; Cu Kα).
No peak broadening, texture or thermal motion is included.

Atomic structure:
abc: 4.4871 4.4871 16.5736
angles: 90.00 90.00 90.00
Space group I4/mmm (No. 139)
One atom of each set of equivalent atoms:
Er  0.0000  0.0000  0.0918 [4 per cell]
Th  0.0000  0.5000  0.2500 [4 per cell]
In  0.0000  0.0000  0.5000 [2 per cell]

The 10 most intense peaks (2θ from 10° to 90°), low angle first:
2θ = 10.68°, rel. 19.7, (0 0 2)
2θ = 30.16°, rel. 100.0, (1 1 2)
2θ = 32.41°, rel. 17.6, (0 0 6)
2θ = 33.61°, rel. 29.7, (1 0 5)
2θ = 35.64°, rel. 40.4, (1 1 4)
2θ = 40.19°, rel. 38.2, (2 0 0)
2θ = 52.55°, rel. 18.7, (2 0 6)
2θ = 53.37°, rel. 15.9, (2 1 5)
2θ = 63.31°, rel. 18.4, (1 1 10)
2θ = 66.90°, rel. 21.1, (3 1 2)


Record 4
Structure and computed X-ray diffraction stick pattern of Tl2In2HgBr6 (a cell relaxed with PBE; Cu Kα).
No peak broadening, texture or thermal motion is included.

Atomic structure:
abc: 7.0836 8.8362 8.9225
angles: 65.74 80.18 69.31
Space group P-1 (No. 2)
One atom of each set of equivalent atoms:
Tl  0.2487  0.0460  0.2859 [2 per cell]
In  0.3604  0.5448  0.6171 [2 per cell]
Hg  0.0000  0.0000  0.0000 [1 per cell]
Br  0.0014  0.2756  0.5017 [2 per cell]
Br  0.3573  0.2701  0.8771 [2 per cell]
Br  0.3912  0.7892  0.6966 [2 per cell]

The 10 most intense peaks (2θ from 10° to 90°), low angle first:
2θ = 11.58°, rel. 49.2, (0 1 0)
2θ = 15.15°, rel. 38.3, (1 1 1)
2θ = 18.71°, rel. 32.4, (0 1 -1)
2θ = 21.07°, rel. 100.0, (-1 1 1)
2θ = 25.83°, rel. 31.9, (2 1 1)
2θ = 29.22°, rel. 49.0, (1 2 -1)
2θ = 29.36°, rel. 48.8, (-1 2 1)
2θ = 31.52°, rel. 44.2, (1 3 2)
2θ = 32.42°, rel. 34.5, (0 2 3)
2θ = 34.39°, rel. 38.8, (2 0 2)


Record 5
Structure and computed X-ray diffraction stick pattern of NaDyO2 (a cell relaxed with PBE; Cu Kα).
No peak broadening, texture or thermal motion is included.

Atomic structure:
abc: 6.6746 13.2845 5.9909
angles: 90.00 122.55 90.00
Space group C2/c (No. 15)
One atom of each set of equivalent atoms:
Na  0.0000  0.0558  0.2500 [4 per cell]
Na  0.0000  0.1803  0.7500 [4 per cell]
Dy  0.0000  0.3066  0.2500 [4 per cell]
Dy  0.0000  0.4327  0.7500 [4 per cell]
O  0.2048  0.4365  0.2049 [8 per cell]
O  0.2280  0.3119  0.7066 [8 per cell]

The 10 most intense peaks (2θ from 10° to 90°), low angle first:
2θ = 17.12°, rel. 100.0, (1 1 0)
2θ = 25.81°, rel. 49.1, (1 3 -1)
2θ = 30.76°, rel. 17.8, (1 1 -2)
2θ = 31.81°, rel. 32.7, (2 0 0)
2θ = 32.26°, rel. 59.9, (0 4 1)
2θ = 32.50°, rel. 29.9, (2 0 -2)
2θ = 35.55°, rel. 46.6, (0 0 2)
2θ = 38.24°, rel. 77.5, (2 4 -1)
2θ = 52.74°, rel. 27.6, (2 4 1)
2θ = 53.66°, rel. 27.3, (2 4 -3)


Record 6
Structure and computed X-ray diffraction stick pattern of LiHoSc (a cell relaxed with PBE; Cu Kα).
No peak broadening, texture or thermal motion is included.

Atomic structure:
abc: 3.1778 5.5426 9.0450
angles: 90.00 90.00 90.00
Space group Pmmn (No. 59, origin choice 2)
One atom of each set of equivalent atoms:
Li  0.2500  0.2500  0.0686 [2 per cell]
Ho  0.2500  0.2500  0.4360 [2 per cell]
Sc  0.2500  0.7500  0.2381 [2 per cell]

The 10 most intense peaks (2θ from 10° to 90°), low angle first:
2θ = 25.42°, rel. 49.8, (0 1 2)
2θ = 29.80°, rel. 28.6, (1 0 1)
2θ = 32.30°, rel. 42.5, (0 2 0)
2θ = 32.48°, rel. 27.8, (1 1 0)
2θ = 33.84°, rel. 100.0, (0 1 3)
2θ = 34.00°, rel. 72.1, (1 1 1)
2θ = 38.23°, rel. 60.9, (1 1 2)
2θ = 44.52°, rel. 21.9, (1 2 1)
2θ = 58.65°, rel. 28.5, (0 3 3)
2θ = 68.92°, rel. 26.6, (2 1 3)